Structure and computed powder XRD pattern of PCl3O (a crystal structure in the Materials Project, relaxed with PBE; Cu Kα, 1.54184 Å).

Cell and atoms:
Lattice parameters (Å, degrees): 9.9028 6.0713 9.8133 90.00 90.00 90.00
Space group Pna2_1 (No. 33)
Inequivalent atoms, fractional coordinates:
P (0.1811, 0.1267, 0.0000) x4
Cl (0.0238, 0.9182, 0.9960) x4
Cl (0.1437, 0.3235, 0.1600) x4
Cl (0.1534, 0.3206, 0.8366) x4
O (0.1862, 0.5178, 0.5045) x4

Principal peaks in the range 2θ from 10° to 90°, most intense first:
25.0 deg, rel. 100
23.2 deg, rel. 89
20.1 deg, rel. 84
17.2 deg, rel. 69
32.4 deg, rel. 56
18.1 deg, rel. 44
49.4 deg, rel. 39
19.4 deg, rel. 39
35.9 deg, rel. 30
31.1 deg, rel. 25